Starting from a PBE-relaxed structure, the powder diffractogram of NbFe3 was calculated for Cu Ka.
Intensities are scaled so that the largest is 100.

Crystal structure
Cell lengths 5.9176, 5.9176, 5.9176 Å; angles 90.00, 90.00, 90.00 degrees
Fractional positions:
Nb1 0.0000 0.0000 0.0000
Nb2 0.0000 0.5000 0.5000
Nb3 0.5000 0.0000 0.5000
Nb4 0.5000 0.5000 0.0000
Fe1 0.0000 0.0000 0.5000
Fe2 0.0000 0.5000 0.0000
Fe3 0.2500 0.2500 0.2500
Fe4 0.2500 0.2500 0.7500
Fe5 0.2500 0.7500 0.2500
Fe6 0.2500 0.7500 0.7500
Fe7 0.5000 0.0000 0.0000
Fe8 0.5000 0.5000 0.5000
Fe9 0.7500 0.2500 0.2500
Fe10 0.7500 0.2500 0.7500
Fe11 0.7500 0.7500 0.2500
Fe12 0.7500 0.7500 0.7500

Top 7 peaks for 2θ = 5–70°, by intensity:
2theta, I (rel.), index
43.2, 100, 2 2 0
62.8, 15, 4 0 0
26.1, 5, 1 1 1
30.2, 2, 2 0 0
51.2, 2, 3 1 1
69.2, 1, 3 3 1
53.7, 1, 2 2 2

Starting from a PBE-relaxed structure, the powder diffractogram of BC5 was calculated for Cu Ka.
Intensities are scaled so that the largest is 100.

Crystal structure
Cell lengths 2.5052, 7.7251, 3.7343 Å; angles 90.00, 90.00, 90.00 degrees
Fractional positions:
B1 0.0000 0.0000 0.0000
B2 0.5000 0.5000 0.5000
C1 0.0000 0.1724 0.7594
C2 0.0000 0.3316 0.0176
C3 0.0000 0.5000 0.8011
C4 0.0000 0.6684 0.0176
C5 0.0000 0.8276 0.7594
C6 0.5000 0.0000 0.3011
C7 0.5000 0.1684 0.5176
C8 0.5000 0.3276 0.2594
C9 0.5000 0.6724 0.2594
C10 0.5000 0.8316 0.5176

Top 7 peaks for 2θ = 5–70°, by intensity:
2theta, I (rel.), index
43.5, 100, 1 0 1
42.7, 94, 0 3 1
26.5, 8, 0 1 1
23.0, 4, 0 2 0
54.6, 1, 0 2 2
37.8, 1, 1 1 0
65.4, 1, 0 5 1

Starting from a PBE-relaxed structure, the powder diffractogram of MnGeTe2 was calculated for Cu Ka.
Intensities are scaled so that the largest is 100.

Crystal structure
Cell lengths 4.1675, 4.1675, 5.9495 Å; angles 90.00, 90.00, 90.00 degrees
Fractional positions:
Mn1 0.0000 0.0000 0.0000
Ge1 0.5000 0.5000 0.5000
Te1 0.0000 0.0000 0.5000
Te2 0.5000 0.5000 0.0000

Top 10 peaks for 2θ = 5–70°, by intensity:
2theta, I (rel.), index
30.3, 100, 1 1 0
43.2, 75, 1 1 2
30.0, 51, 0 0 2
53.7, 39, 2 0 2
43.4, 37, 2 0 0
26.1, 27, 1 0 1
63.1, 12, 2 2 0
51.4, 9, 2 1 1
62.4, 6, 0 0 4
51.0, 4, 1 0 3